For LiSm2GeO6, a cell relaxed with GGA-PBE gives the simulated XRD peak list in this record (a wavelength of 1.5418 Å).
Peak positions follow from Bragg's law for the DFT cell and can differ from measured ones.

Peak list (10 most intense, 2θ = 15–90°, most intense first)
d (Å)  Position (°2θ)  I (rel.)  index
2.758  32.5  100.0  1 1 1
2.703  33.1  97.5  1 1 -3
2.686  33.4  94.8  2 0 -2
3.923  22.7  67.4  1 1 -1
1.900  47.9  53.8  0 0 4
3.802  23.4  45.0  0 0 2
1.961  46.3  34.5  2 2 -2
2.868  31.2  33.2  0 2 0
3.515  25.3  32.2  1 1 0
3.458  25.8  31.0  1 1 -2

Crystal structure
Cell: 5.3777 5.7368 9.1925 Å, 90.00 124.20 90.00°
Space group P2_1/c (No. 14)
Asymmetric unit:
Li: 0.0000 0.0000 0.0000 x2
Sm: 0.2261 0.0727 0.7475 x4
Ge: 0.5000 0.0000 0.5000 x2
O: 0.1635 0.1820 0.4533 x4
O: 0.2665 0.7170 0.4460 x4
O: 0.3591 0.0300 0.2599 x4